# 1
Structure and simulated powder diffractogram of U3RuS6 (a crystal structure in Alexandria, relaxed with PBE; Cu Kα (λ = 1.5418 Å)).

Largest 8 diffraction maxima, sorted by position, 2θ from 10° to 90°:
- 24.29°, d 3.664, I 38
- 24.84°, d 3.585, I 100
- 28.60°, d 3.121, I 50
- 28.83°, d 3.097, I 23
- 33.21°, d 2.698, I 24
- 36.18°, d 2.483, I 22
- 40.54°, d 2.225, I 47
- 41.23°, d 2.189, I 32

Crystal structure
```
data_U3RuS6
_cell_length_a 11.5851
_cell_length_b 11.5851
_cell_length_c 10.9919
_cell_angle_alpha 90.00
_cell_angle_beta 90.00
_cell_angle_gamma 120.00
_symmetry_space_group_name_H-M 'R -3'
_symmetry_Int_Tables_number 148
_symmetry_space_group_name_Hall '-R 3'
loop_
_atom_site_label
_atom_site_fract_x
_atom_site_fract_y
_atom_site_fract_z
_atom_site_occupancy
U1 0.0530 0.6126 0.3196 1
Ru1 0.0000 0.0000 0.0000 1
Ru2 0.0000 0.0000 0.5000 1
S1 0.0348 0.8285 0.3967 1
S2 0.0525 0.8566 0.8839 1
```

# 2
Structure and simulated powder diffractogram of Bi2BO5 (a crystal structure in Alexandria, relaxed with PBE; Cu Kα (λ = 1.5418 Å)).

Largest 8 diffraction maxima, sorted by position, 2θ from 10° to 90°:
- 12.79°, d 6.924, I 27
- 23.60°, d 3.770, I 43
- 29.91°, d 2.987, I 100
- 31.94°, d 2.802, I 22
- 32.68°, d 2.740, I 18
- 46.34°, d 1.959, I 18
- 51.78°, d 1.766, I 26
- 55.67°, d 1.651, I 18

Crystal structure
```
data_Bi2BO5
_cell_length_a 13.848
_cell_length_b 5.481
_cell_length_c 5.604
_cell_angle_alpha 90.00
_cell_angle_beta 90.00
_cell_angle_gamma 90.00
_symmetry_space_group_name_H-M 'C m c 21'
_symmetry_Int_Tables_number 36
loop_
_symmetry_equiv_pos_as_xyz
'x,y,z'
'-x,-y,z+1/2'
'-x,y,z'
'x,-y,z+1/2'
'x+1/2,y+1/2,z'
'-x+1/2,-y+1/2,z+1/2'
'-x+1/2,y+1/2,z'
'x+1/2,-y+1/2,z+1/2'
loop_
_atom_site_label
_atom_site_fract_x
_atom_site_fract_y
_atom_site_fract_z
_atom_site_occupancy
Bi1 0.158 0.229 0.000 1
B1 0.000 0.305 0.574 1
O1 0.000 0.443 0.048 1
O2 0.087 0.184 0.591 1
O3 0.241 0.499 0.770 1
```

# 3
Structure and simulated powder diffractogram of CaPrB12 (a crystal structure in Alexandria, relaxed with PBE; Cu Kα (λ = 1.5418 Å)).

Largest 8 diffraction maxima, sorted by position, 2θ from 10° to 90°:
- 18.54°, d 4.786, I 55
- 21.44°, d 4.145, I 43
- 30.50°, d 2.931, I 100
- 35.93°, d 2.499, I 33
- 37.59°, d 2.393, I 44
- 43.68°, d 2.072, I 23
- 49.16°, d 1.853, I 46
- 67.84°, d 1.382, I 29

Crystal structure
```
data_CaPrB12
_cell_length_a 8.289
_cell_length_b 8.289
_cell_length_c 8.289
_cell_angle_alpha 90.00
_cell_angle_beta 90.00
_cell_angle_gamma 90.00
_symmetry_space_group_name_H-M 'F m -3 m'
_symmetry_Int_Tables_number 225
_symmetry_space_group_name_Hall '-F 4 2 3'
loop_
_atom_site_label
_atom_site_fract_x
_atom_site_fract_y
_atom_site_fract_z
_atom_site_occupancy
Ca1 0.000 0.000 0.000 1
Pr1 0.000 0.000 0.500 1
B1 0.100 0.250 0.250 1
```

# 4
Structure and simulated powder diffractogram of AcPr8Er3 (a crystal structure in Alexandria, relaxed with PBE; Cu Kα (λ = 1.5418 Å)).

Largest 8 diffraction maxima, sorted by position, 2θ from 10° to 90°:
- 27.66°, d 3.225, I 24
- 30.06°, d 2.973, I 25
- 31.56°, d 2.835, I 100
- 41.30°, d 2.186, I 16
- 48.91°, d 1.862, I 20
- 54.33°, d 1.689, I 21
- 58.44°, d 1.579, I 12
- 58.52°, d 1.577, I 11

Crystal structure
```
data_AcPr8Er3
_cell_length_a 16.309
_cell_length_b 6.444
_cell_length_c 11.184
_cell_angle_alpha 90.00
_cell_angle_beta 133.18
_cell_angle_gamma 90.00
_symmetry_space_group_name_H-M 'C 1 2 1'
_symmetry_Int_Tables_number 5
loop_
_symmetry_equiv_pos_as_xyz
'x,y,z'
'-x,y,-z'
'x+1/2,y+1/2,z'
'-x+1/2,y+1/2,-z'
loop_
_atom_site_label
_atom_site_fract_x
_atom_site_fract_y
_atom_site_fract_z
_atom_site_occupancy
Ac1 0.000 0.000 0.000 1
Pr1 0.000 0.010 0.339 1
Pr2 0.000 0.503 0.167 1
Pr3 0.245 0.670 0.911 1
Pr4 0.245 0.671 0.579 1
Er1 0.000 0.500 0.500 1
Er2 0.247 0.172 0.747 1
```

# 5
Structure and simulated powder diffractogram of Tb4Pm2Ho (a crystal structure in Alexandria, relaxed with PBE; Cu Kα (λ = 1.5418 Å)).

Largest 8 diffraction maxima, sorted by position, 2θ from 10° to 90°:
- 29.87°, d 2.991, I 38
- 31.15°, d 2.871, I 52
- 31.31°, d 2.857, I 100
- 32.44°, d 2.760, I 44
- 32.90°, d 2.723, I 46
- 47.70°, d 1.907, I 21
- 57.86°, d 1.594, I 21
- 61.52°, d 1.507, I 29

Crystal structure
```
data_Tb4Pm2Ho
_cell_length_a 16.902
_cell_length_b 3.549
_cell_length_c 8.801
_cell_angle_alpha 90.00
_cell_angle_beta 119.85
_cell_angle_gamma 90.00
_symmetry_space_group_name_H-M 'C 1 2/m 1'
_symmetry_Int_Tables_number 12
loop_
_symmetry_equiv_pos_as_xyz
'x,y,z'
'-x,-y,-z'
'-x,y,-z'
'x,-y,z'
'x+1/2,y+1/2,z'
'-x+1/2,-y+1/2,-z'
'-x+1/2,y+1/2,-z'
'x+1/2,-y+1/2,z'
loop_
_atom_site_label
_atom_site_fract_x
_atom_site_fract_y
_atom_site_fract_z
_atom_site_occupancy
Tb1 0.144 0.000 0.345 1
Tb2 0.204 0.000 0.792 1
Pm1 0.070 0.500 0.930 1
Ho1 0.000 0.500 0.500 1
```

- Number 2 is which compound?
  Bi2BO5